Theoretical XRD peak list of Ni11Ge2Te4 for Cu Kα X-rays, from the PBE geometry in the Materials Project.
Kinematic intensities with the Lorentz-polarization factor, no thermal factor.

```
data_Ni11Ge2Te4
_space_group_name_H-M_alt 'P 1'
_space_group_IT_number 1
_cell_length_a 3.704
_cell_length_b 3.704
_cell_length_c 19.048
_cell_angle_alpha 90.00
_cell_angle_beta 90.00
_cell_angle_gamma 90.00
loop_
_space_group_symop_operation_xyz
'x,y,z'
loop_
_atom_site_label
_atom_site_type_symbol
_atom_site_fract_x
_atom_site_fract_y
_atom_site_fract_z
_atom_site_occupancy
Ni1 Ni 0.000 0.000 0.000 1
Ni2 Ni 0.000 0.000 0.309 1
Ni3 Ni 0.000 0.500 0.089 1
Ni4 Ni 0.000 0.500 0.413 1
Ni5 Ni 0.000 0.500 0.589 1
Ni6 Ni 0.000 0.500 0.911 1
Ni7 Ni 0.500 0.000 0.089 1
Ni8 Ni 0.500 0.000 0.413 1
Ni9 Ni 0.500 0.000 0.589 1
Ni10 Ni 0.500 0.000 0.911 1
Ni11 Ni 0.500 0.500 0.501 1
Ge1 Ge 0.000 0.000 0.500 1
Ge2 Ge 0.500 0.500 0.000 1
Te1 Te 0.000 0.000 0.177 1
Te2 Te 0.000 0.000 0.822 1
Te3 Te 0.500 0.500 0.317 1
Te4 Te 0.500 0.500 0.678 1
```

Largest 8 diffraction maxima, by angle, 15 to 90 degrees two-theta:
| 2θ (°) | I/Imax |
| --- | --- |
| 27.9 | 447 |
| 33.7 | 133 |
| 39.3 | 233 |
| 44.9 | 1000 |
| 49.2 | 432 |
| 57.5 | 119 |
| 72.1 | 130 |
| 89.1 | 262 |

=====

Theoretical XRD peak list of GdYCu2 for Cu Kα X-rays, from the PBE geometry in the Materials Project.
Kinematic intensities with the Lorentz-polarization factor, no thermal factor.

```
data_GdYCu2
_space_group_name_H-M_alt 'P 1'
_space_group_IT_number 1
_cell_length_a 4.920
_cell_length_b 4.920
_cell_length_c 4.920
_cell_angle_alpha 60.00
_cell_angle_beta 60.00
_cell_angle_gamma 60.00
loop_
_space_group_symop_operation_xyz
'x,y,z'
loop_
_atom_site_label
_atom_site_type_symbol
_atom_site_fract_x
_atom_site_fract_y
_atom_site_fract_z
_atom_site_occupancy
Gd1 Gd 0.000 0.000 0.000 1
Y1 Y 0.500 0.500 0.500 1
Cu1 Cu 0.250 0.250 0.250 1
Cu2 Cu 0.750 0.750 0.750 1
```

Largest 8 diffraction maxima, by angle, 15 to 90 degrees two-theta:
| 2θ (°) | I/Imax |
| --- | --- |
| 22.1 | 63 |
| 25.6 | 98 |
| 36.5 | 1000 |
| 52.6 | 171 |
| 59.4 | 41 |
| 65.7 | 340 |
| 77.6 | 104 |
| 89.0 | 150 |

=====

Theoretical XRD peak list of MgSn5 for Cu Kα X-rays, from the PBE geometry in the Materials Project.
Kinematic intensities with the Lorentz-polarization factor, no thermal factor.

```
data_MgSn5
_space_group_name_H-M_alt 'P 1'
_space_group_IT_number 1
_cell_length_a 5.514
_cell_length_b 9.052
_cell_length_c 9.052
_cell_angle_alpha 20.94
_cell_angle_beta 90.00
_cell_angle_gamma 90.00
loop_
_space_group_symop_operation_xyz
'x,y,z'
loop_
_atom_site_label
_atom_site_type_symbol
_atom_site_fract_x
_atom_site_fract_y
_atom_site_fract_z
_atom_site_occupancy
Mg1 Mg 0.000 0.000 0.000 1
Sn1 Sn 0.000 0.336 0.336 1
Sn2 Sn 0.000 0.662 0.662 1
Sn3 Sn 0.500 0.109 0.109 1
Sn4 Sn 0.500 0.447 0.447 1
Sn5 Sn 0.500 0.778 0.778 1
```

Largest 8 diffraction maxima, by angle, 15 to 90 degrees two-theta:
| 2θ (°) | I/Imax |
| --- | --- |
| 31.1 | 235 |
| 32.5 | 405 |
| 34.3 | 514 |
| 35.2 | 1000 |
| 45.6 | 167 |
| 54.1 | 204 |
| 59.7 | 225 |
| 64.5 | 230 |